# 1
The following is a theoretical powder diffraction line list of CaTi3V5O16. It was derived from a crystal structure in Alexandria, relaxed with PBE+U, using Cu Kα X-rays.
Intensities are scaled so that the largest is 100.

Structure:
```
CaTi3V5O16
1.0
6.0291 0.0000 0.0000
3.0132 5.2738 0.0000
0.1939 0.0591 9.2650
Ca Ti V O
1 3 5 16
direct
0.0000 0.0000 0.0000
0.1863 0.1545 0.6512
0.4896 0.9866 0.1835
0.6508 0.2045 0.6551
0.1515 0.6642 0.6577
0.5009 0.4897 0.1708
0.6655 0.6659 0.8730
0.9827 0.9897 0.3979
0.9995 0.5003 0.1669
0.1464 0.1595 0.2605
0.1680 0.6720 0.2595
0.2691 0.8690 0.5270
0.3356 0.3204 0.5494
0.3358 0.3267 0.0709
0.3999 0.8091 0.0414
0.4891 0.5062 0.7617
0.4904 0.9968 0.7601
0.6645 0.6642 0.2774
0.6813 0.1455 0.2571
0.7838 0.3969 0.0418
0.8247 0.7734 0.0400
0.8432 0.2837 0.5231
0.8505 0.8564 0.5188
0.9725 0.0144 0.7627
0.9863 0.4886 0.7588
```

Top 10 peaks for 5 to 70 degrees two-theta, in order of rising 2θ:
2θ = 19.2°, I = 100; 2θ = 19.3°, I = 52; 2θ = 19.6°, I = 37; 2θ = 25.7°, I = 30; 2θ = 25.9°, I = 36; 2θ = 35.2°, I = 30; 2θ = 35.4°, I = 41; 2θ = 35.5°, I = 40; 2θ = 35.9°, I = 38; 2θ = 61.0°, I = 34

# 2
The following is a theoretical powder diffraction line list of CaTi3V5O16. It was derived from a crystal structure in Alexandria, relaxed with PBE+U, using Cu Kα X-rays.
Intensities are scaled so that the largest is 100.

Structure:
```
CaTi3V5O16
1.0
5.9302 0.0000 0.0000
-2.8877 5.3060 0.0000
-0.0999 -0.1382 10.5998
Ca Ti V O
1 3 5 16
direct
0.0000 0.0000 0.0000
0.3117 0.3319 0.7285
0.4970 0.5046 0.2456
0.9186 0.6480 0.7146
0.0023 0.0009 0.3025
0.3735 0.6998 0.5116
0.5046 0.0003 0.2600
0.6892 0.0160 0.7199
0.9884 0.4920 0.2769
0.0136 0.0257 0.6745
0.0412 0.7340 0.8629
0.1116 0.5080 0.6339
0.1783 0.8144 0.3723
0.2038 0.3842 0.3793
0.2476 0.3450 0.8824
0.3131 0.1646 0.1812
0.3165 0.6510 0.1713
0.4614 0.9929 0.5747
0.5836 0.6533 0.6412
0.6368 0.3139 0.7464
0.6453 0.8151 0.3724
0.6520 0.9245 0.8699
0.6825 0.3486 0.3550
0.8352 0.6788 0.1792
0.8534 0.1613 0.1852
```

Top 10 peaks for 5 to 70 degrees two-theta, in order of rising 2θ:
2θ = 8.3°, I = 55; 2θ = 16.7°, I = 100; 2θ = 18.8°, I = 12; 2θ = 19.2°, I = 15; 2θ = 30.3°, I = 12; 2θ = 30.8°, I = 11; 2θ = 33.8°, I = 12; 2θ = 38.1°, I = 14; 2θ = 42.9°, I = 23; 2θ = 43.5°, I = 15

# 3
The following is a theoretical powder diffraction line list of CaTi3V5O16. It was derived from a crystal structure in Alexandria, relaxed with PBE+U, using Cu Kα X-rays.
Intensities are scaled so that the largest is 100.

Structure:
```
CaTi3V5O16
1.0
5.9894 0.0000 0.0000
-2.9858 5.2534 0.0000
-0.0758 -0.1344 9.4339
Ca Ti V O
1 3 5 16
direct
0.0000 0.0000 0.0000
0.4900 0.9783 0.8094
0.7648 0.1247 0.3409
0.9814 0.4903 0.8177
0.3065 0.1965 0.3467
0.3275 0.6676 0.1109
0.4897 0.4876 0.8223
0.8350 0.6586 0.3243
0.9906 0.9865 0.5991
0.1301 0.8654 0.4536
0.1310 0.2907 0.4592
0.1830 0.7866 0.9460
0.2040 0.3928 0.9465
0.3102 0.1451 0.7319
0.3184 0.6554 0.7138
0.4712 0.9981 0.2256
0.4854 0.5080 0.2283
0.5999 0.8020 0.9476
0.6539 0.3393 0.4314
0.6638 0.3269 0.9213
0.6930 0.8546 0.4544
0.8152 0.6574 0.7260
0.8297 0.1501 0.7275
0.9773 0.0081 0.2304
0.9859 0.5196 0.2224
```

Top 10 peaks for 5 to 70 degrees two-theta, in order of rising 2θ:
2θ = 18.8°, I = 100; 2θ = 19.5°, I = 50; 2θ = 25.5°, I = 54; 2θ = 35.4°, I = 49; 2θ = 35.6°, I = 25; 2θ = 35.6°, I = 29; 2θ = 35.9°, I = 35; 2θ = 39.6°, I = 30; 2θ = 45.3°, I = 34; 2θ = 61.3°, I = 46